MgSi: computed powder diffraction line list (Cu Kα X-rays), based on DFT lattice parameters and positions (PBE).

Most intense lines, 5° ≤ 2θ ≤ 70°, by angle:
34.17°, I = 12, hkl 1 1 -2; 35.06°, I = 100, hkl 1 0 3; 36.81°, I = 73, hkl 0 2 2; 38.61°, I = 74, hkl 1 2 -1; 39.31°, I = 57, hkl 1 0 -3; 39.58°, I = 73, hkl 2 0 0; 44.13°, I = 50, hkl 1 -2 1; 47.17°, I = 36, hkl 2 2 2; 58.65°, I = 25, hkl 0 2 -4; 66.12°, I = 12, hkl 3 0 3

Atomic structure:
Unit cell a=4.708 b=5.602 c=8.731 alpha=80.35 beta=81.08 gamma=77.05
Fractional positions:
Mg  0.000  0.000  0.000
Mg  0.003  0.630  0.335
Mg  0.042  0.870  0.651
Mg  0.534  0.061  0.480
Mg  0.544  0.708  0.850
Mg  0.569  0.370  0.162
Si  0.014  0.365  0.674
Si  0.074  0.492  0.936
Si  0.079  0.128  0.312
Si  0.487  0.864  0.172
Si  0.513  0.212  0.805
Si  0.524  0.534  0.555